Computed powder X-ray diffraction pattern of BaSrGdVO6 for Cu Kα, from a structure optimized by DFT (PBE+U).
Peak positions follow from Bragg's law for the DFT cell and can differ from measured ones.

Cell and atoms:
```
data_BaSrGdVO6
_space_group_name_H-M_alt 'F -4 3 m'
_space_group_IT_number 216
_space_group_name_Hall 'F -4 2 3'
_cell_length_a 8.3376
_cell_length_b 8.3376
_cell_length_c 8.3376
_cell_angle_alpha 90.00
_cell_angle_beta 90.00
_cell_angle_gamma 90.00
loop_
_atom_site_label
_atom_site_type_symbol
_atom_site_fract_x
_atom_site_fract_y
_atom_site_fract_z
Ba1 Ba 0.0000 0.0000 0.0000
Sr1 Sr 0.0000 0.0000 0.5000
Gd1 Gd 0.2500 0.2500 0.2500
V1 V 0.2500 0.2500 0.7500
O1 O 0.0207 0.2500 0.7500
```

Peak list (10 most intense, 10° ≤ 2θ ≤ 90°, low angle first)
two_theta	I_rel
18.43	14
30.32	100
35.72	11
43.41	32
47.54	7
53.87	39
63.07	19
71.58	18
79.67	6
87.57	21